No. 1
LiRh2F11: calculated powder diffraction line list (λ = 1.5418 Å (Cu Kα)), based on the PBE geometry in Alexandria.
Neutral-atom scattering factors, no anomalous dispersion.

Structural model:
Cell lengths 7.959, 10.861, 10.472 Å; angles 90.00, 90.00, 90.00 degrees
Space group Ibam (No. 72)
Inequivalent atoms, fractional coordinates:
Li1 0.000 0.000 0.250 x4
Rh1 0.222 0.414 0.000 x8
F1 0.000 0.500 0.000 x4
F2 0.072 0.169 0.500 x8
F3 0.142 0.311 0.130 x16
F4 0.190 0.024 0.127 x16

Principal peaks in the range 2θ from 15° to 90°, sorted by position:
16.32 deg, 5.431 Å, I = 16; 16.93 deg, 5.236 Å, I = 65; 21.55 deg, 4.123 Å, I = 100; 22.34 deg, 3.980 Å, I = 25; 23.60 deg, 3.769 Å, I = 8; 27.79 deg, 3.210 Å, I = 9; 28.17 deg, 3.168 Å, I = 13; 32.50 deg, 2.755 Å, I = 25; 43.74 deg, 2.069 Å, I = 17; 47.94 deg, 1.898 Å, I = 9; 48.76 deg, 1.867 Å, I = 12; 58.74 deg, 1.572 Å, I = 7

=====

No. 2
LiTlRhF6: calculated powder diffraction line list (λ = 1.5418 Å (Cu Kα)), based on the PBE geometry in Alexandria.
Neutral-atom scattering factors, no anomalous dispersion.

Structural model:
Cell lengths 7.062, 7.608, 10.075 Å; angles 90.00, 90.00, 90.00 degrees
Space group Cmm2 (No. 35)
Inequivalent atoms, fractional coordinates:
Li1 0.000 0.000 0.000 x2
Li2 0.000 0.500 0.449 x2
Tl1 0.000 0.000 0.650 x2
Tl2 0.000 0.500 0.120 x2
Rh1 0.000 0.000 0.313 x2
Rh2 0.000 0.500 0.775 x2
F1 0.000 0.162 0.157 x4
F2 0.000 0.177 0.461 x4
F3 0.000 0.237 0.787 x4
F4 0.181 0.500 0.622 x4
F5 0.215 0.500 0.325 x4
F6 0.222 0.500 0.899 x4

Principal peaks in the range 2θ from 15° to 90°, sorted by position:
17.61 deg, 5.038 Å, I = 38; 19.28 deg, 4.604 Å, I = 100; 23.39 deg, 3.804 Å, I = 73; 25.22 deg, 3.531 Å, I = 57; 29.42 deg, 3.036 Å, I = 20; 30.93 deg, 2.892 Å, I = 25; 31.76 deg, 2.817 Å, I = 84; 34.66 deg, 2.588 Å, I = 24; 39.13 deg, 2.302 Å, I = 25; 46.69 deg, 1.945 Å, I = 44; 48.73 deg, 1.869 Å, I = 36; 60.30 deg, 1.535 Å, I = 30